Calculated powder X-ray diffraction pattern of Pm4Ga16Ru3 for Cu Ka, from a cell relaxed with GGA-PBE.
Intensities are scaled so that the largest is 100.

Peak list (6 most intense, 15° ≤ 2θ ≤ 90°, by angle)
2θ = 31.12°, I 33; 2θ = 32.93°, I 34; 2θ = 37.45°, I 100; 2θ = 39.39°, I 25; 2θ = 41.30°, I 75; 2θ = 58.39°, I 28

Atomic structure:
abc: 6.1835 6.1835 11.4370
angles: 90.00 90.00 90.00
Space group P4/mmm (No. 123)
Unique sites:
Pm 0.0000 0.5000 0.1924 (multiplicity 4)
Ga 0.0000 0.0000 0.1977 (multiplicity 2)
Ga 0.2141 0.2141 0.0000 (multiplicity 4)
Ga 0.2519 0.2519 0.3829 (multiplicity 8)
Ga 0.5000 0.5000 0.2202 (multiplicity 2)
Ru 0.0000 0.5000 0.5000 (multiplicity 2)
Ru 0.5000 0.5000 0.0000 (multiplicity 1)